1.
Simulated X-ray diffraction stick pattern
Compound: RbSn2PdO
Radiation: copper Kα
Structure: the PBE geometry in Alexandria

```
data_RbSn2PdO
_chemical_formula_sum 'Rb1 Sn2 Pd1 O1'
_space_group_name_H-M_alt 'P 4/m m m'
_space_group_IT_number 123
_space_group_name_Hall '-P 4 2'
_cell_length_a 6.2016
_cell_length_b 6.2016
_cell_length_c 5.0509
_cell_angle_alpha 90.00
_cell_angle_beta 90.00
_cell_angle_gamma 90.00
loop_
_atom_site_label
_atom_site_fract_x
_atom_site_fract_y
_atom_site_fract_z
Rb1 0.0000 0.0000 0.0000
Sn1 0.0000 0.5000 0.0000
Pd1 0.0000 0.0000 0.5000
O1 0.5000 0.5000 0.5000
```

Largest 6 diffraction maxima, sorted by position, 10 to 80 degrees two-theta:
(hkl), 2θ/deg, I/Imax
1 0 0, 14.28, 81
1 1 1, 26.93, 90
2 0 0, 28.79, 100
2 2 0, 41.17, 38
2 0 2, 46.37, 54
3 1 1, 49.88, 34

2.
Simulated X-ray diffraction stick pattern
Compound: Rb2TePdO4
Radiation: copper Kα
Structure: the PBE geometry in Alexandria

```
data_Rb2TePdO4
_chemical_formula_sum 'Rb4 Te2 Pd2 O8'
_space_group_name_H-M_alt 'I -4'
_space_group_IT_number 82
_space_group_name_Hall 'I -4'
_cell_length_a 6.6293
_cell_length_b 6.6293
_cell_length_c 7.3116
_cell_angle_alpha 90.00
_cell_angle_beta 90.00
_cell_angle_gamma 90.00
loop_
_atom_site_label
_atom_site_fract_x
_atom_site_fract_y
_atom_site_fract_z
Rb1 0.0000 0.0000 0.0000
Rb2 0.0000 0.5000 0.2500
Te1 0.0000 0.0000 0.5000
Pd1 0.0000 0.5000 0.7500
O1 0.1184 0.7934 0.6624
```

Largest 6 diffraction maxima, sorted by position, 10 to 80 degrees two-theta:
(hkl), 2θ/deg, I/Imax
2 0 0, 26.90, 64
1 1 2, 31.02, 100
2 2 0, 38.41, 28
1 3 2, 50.16, 54
2 0 4, 57.58, 18
4 2 0, 62.67, 15